No. 1
Er2TmGa3AgPt2: calculated PXRD pattern (Cu Kα (weighted mean of Kα1 and Kα2)), based on a crystal structure in OQMD, relaxed with PBE.

Structural model:
```
data_Er2TmGa3AgPt2
_chemical_formula_sum 'Er4 Tm2 Ga6 Ag2 Pt4'
_space_group_name_H-M_alt 'A m m 2'
_space_group_IT_number 38
_space_group_name_Hall 'A 2 -2'
_cell_length_a 3.6706
_cell_length_b 12.9642
_cell_length_c 7.4917
_cell_angle_alpha 90.00
_cell_angle_beta 90.00
_cell_angle_gamma 90.00
loop_
_atom_site_label
_atom_site_fract_x
_atom_site_fract_y
_atom_site_fract_z
_atom_site_occupancy
Er1 0.0000 0.2039 0.0000 1
Tm1 0.0000 0.0000 0.6115 1
Ga1 0.5000 0.0000 0.9318 1
Ga2 0.5000 0.1358 0.3399 1
Ag1 0.0000 0.0000 0.2043 1
Pt1 0.5000 0.1661 0.7036 1
```

Peak list (6 most intense, 2θ from 10° to 90°, in order of rising 2θ)
(hkl), 2θ/deg, I/Imax
1 3 1, 34.2, 100
0 1 3, 36.7, 31
1 4 0, 37.0, 91
0 6 0, 41.8, 52
1 4 2, 44.4, 26
1 7 3, 68.0, 30

No. 2
Hf8Ga2C3N3: calculated PXRD pattern (Cu Kα (weighted mean of Kα1 and Kα2)), based on a crystal structure in OQMD, relaxed with PBE.

Structural model:
```
data_Hf8Ga2C3N3
_chemical_formula_sum 'Hf8 Ga2 C3 N3'
_space_group_name_H-M_alt 'P -3 m 1'
_space_group_IT_number 164
_space_group_name_Hall '-P 3 2"'
_cell_length_a 3.2599
_cell_length_b 3.2599
_cell_length_c 24.3104
_cell_angle_alpha 90.00
_cell_angle_beta 90.00
_cell_angle_gamma 120.00
loop_
_atom_site_label
_atom_site_fract_x
_atom_site_fract_y
_atom_site_fract_z
_atom_site_occupancy
Hf1 0.0000 0.0000 0.1569 1
Hf2 0.0000 0.0000 0.3394 1
Hf3 0.3333 0.6667 0.5534 1
Hf4 0.3333 0.6667 0.9453 1
Ga1 0.3333 0.6667 0.7528 1
C1 0.0000 0.0000 0.5000 1
C2 0.3333 0.6667 0.3874 1
N1 0.0000 0.0000 0.0000 1
N2 0.3333 0.6667 0.1060 1
```

Peak list (6 most intense, 2θ from 10° to 90°, in order of rising 2θ)
(hkl), 2θ/deg, I/Imax
0 1 2, 32.6, 40
1 0 4, 35.0, 48
0 1 5, 36.8, 73
0 0 10, 37.0, 40
1 0 6, 38.9, 100
1 1 0, 56.5, 50

No. 3
KRb3Zn2Pb2: calculated PXRD pattern (Cu Kα (weighted mean of Kα1 and Kα2)), based on a crystal structure in OQMD, relaxed with PBE.

Structural model:
```
data_KRb3Zn2Pb2
_chemical_formula_sum 'K1 Rb3 Zn2 Pb2'
_space_group_name_H-M_alt 'P 1 m 1'
_space_group_IT_number 6
_space_group_name_Hall 'P -2y'
_cell_length_a 7.0433
_cell_length_b 6.7604
_cell_length_c 7.1288
_cell_angle_alpha 90.00
_cell_angle_beta 107.62
_cell_angle_gamma 90.00
loop_
_atom_site_label
_atom_site_fract_x
_atom_site_fract_y
_atom_site_fract_z
_atom_site_occupancy
K1 0.0000 0.0000 0.0000 1
Rb1 0.3459 0.5000 0.0198 1
Rb2 0.6603 0.0000 0.3368 1
Rb3 0.6886 0.5000 0.6848 1
Zn1 0.1746 0.2499 0.5070 1
Pb1 0.4196 0.0000 0.7665 1
Pb2 0.9217 0.5000 0.2551 1
```

Peak list (6 most intense, 2θ from 10° to 90°, in order of rising 2θ)
(hkl), 2θ/deg, I/Imax
1 0 -1, 15.5, 73
1 1 0, 18.6, 60
0 2 0, 26.4, 46
1 1 -2, 28.8, 100
2 1 -1, 29.0, 96
1 2 1, 34.1, 66